Simulated powder diffraction line list
Compound: PrHgBr3
Radiation: Cu Kα, 1.54184 Å
Structure: a cell relaxed with PBE

Structural model:
abc: 7.6501 7.6501 30.5806
angles: 90.00 90.00 120.00
Space group R-3 (No. 148, hexagonal axes)
Asymmetric unit:
Pr 0.0000 0.0000 0.1669 [6 per cell]
Hg 0.0000 0.0000 0.3411 [6 per cell]
Br 0.0008 0.6226 0.5553 [18 per cell]

Principal peaks in the range 2θ from 10° to 80°, low angle first:
two_theta	I_rel
14.6	47
17.4	14
17.7	39
23.3	24
24.9	35
29.2	100
40.9	32
42.6	32
51.0	18
67.3	15